This entry pairs a crystal structure of HRh2AuICl with its theoretical powder X-ray diffraction pattern. Radiation: Cu Kα (λ = 1.5418 Å). Structure: a cell relaxed with PBE.

Structural model:
```
data_HRh2AuICl
_chemical_formula_sum 'H1 Rh2 Au1 I1 Cl1'
_symmetry_space_group_name_H-M 'P 1'
_symmetry_Int_Tables_number 1
_cell_length_a 5.9091
_cell_length_b 5.9091
_cell_length_c 6.1824
_cell_angle_alpha 113.40
_cell_angle_beta 113.40
_cell_angle_gamma 33.37
loop_
_symmetry_equiv_pos_as_xyz
'x,y,z'
loop_
_atom_site_label
_atom_site_fract_x
_atom_site_fract_y
_atom_site_fract_z
_atom_site_occupancy
H1 0.0000 0.0000 0.0000 1
Rh1 0.1464 0.1464 0.2324 1
Rh2 0.4224 0.4224 0.0184 1
Au1 0.5538 0.5538 0.4797 1
I1 0.7292 0.7292 0.9839 1
Cl1 0.3552 0.3552 0.5932 1
```

Main lines, most intense first (2θ = 10–80°):
36.0 deg, I = 100
27.7 deg, I = 46
45.5 deg, I = 45
27.9 deg, I = 44
39.7 deg, I = 33
17.9 deg, I = 29
31.8 deg, I = 27
17.2 deg, I = 22